Starting from a PBE+U-relaxed structure, the X-ray diffraction stick pattern of NiH12Br2O14 was calculated for λ = 1.5418 Å (Cu Kα).
Peak positions follow from Bragg's law for the DFT cell and can differ from measured ones.

```
data_NiH12Br2O14
_chemical_formula_sum 'Ni1 H12 Br2 O14'
_cell_length_a 7.7895
_cell_length_b 7.7895
_cell_length_c 6.1578
_cell_angle_alpha 90.00
_cell_angle_beta 90.00
_cell_angle_gamma 120.00
_space_group_name_H-M_alt 'P -3'
_space_group_IT_number 147
_space_group_name_Hall '-P 3'
loop_
_atom_site_label
_atom_site_type_symbol
_atom_site_fract_x
_atom_site_fract_y
_atom_site_fract_z
Ni1 Ni 0.0000 0.0000 0.0000
H1 H 0.0619 0.3323 0.7869
H2 H 0.0651 0.7344 0.7830
Br1 Br 0.3333 0.6667 0.3208
O1 O 0.1032 0.5498 0.2262
O2 O 0.1217 0.2480 0.8012
O3 O 0.3333 0.6667 0.5868
```

Principal peaks in the range 2θ from 15° to 90°, low angle first:
d [Å]  Rel. int.  hkl
4.548  100  0 1 1
3.895  54  1 1 0
2.958  48  2 0 1
2.801  14  1 0 2
2.356  10  1 2 1
1.964  25  2 1 2
1.947  12  2 2 0
1.816  13  1 1 3
1.790  15  4 -1 1
1.501  13  2 3 1